# 1
Starting from a cell relaxed with PBE, the PXRD pattern of Pb2Au3 was computed for a wavelength of 1.5418 Å.
Lines closer than 0.1° are merged.

Structural model:
Cell lengths 11.802, 25.752, 3.207 Å; angles 90.00, 90.00, 90.00 degrees
Space group Fdd2 (No. 43)
Symmetry-distinct sites (fractional):
Pb: 0.110 0.169 0.000
Au: 0.000 0.000 0.242
Au: 0.102 0.310 0.989

Principal peaks in the range 5 to 70 degrees two-theta, in order of rising 2θ:
25.67 deg, I = 39
27.71 deg, I = 27
30.29 deg, I = 29
31.66 deg, I = 28
33.41 deg, I = 20
33.79 deg, I = 44
36.31 deg, I = 100
37.99 deg, I = 60
41.52 deg, I = 55
43.05 deg, I = 22

---

# 2
Starting from a cell relaxed with PBE, the PXRD pattern of Pb3Au5 was computed for a wavelength of 1.5418 Å.
Lines closer than 0.1° are merged.

Structural model:
Cell lengths 7.099, 16.298, 7.336 Å; angles 90.00, 115.02, 90.00 degrees
Space group Cm (No. 8)
Symmetry-distinct sites (fractional):
Pb: 0.000 0.000 0.000
Pb: 0.041 0.226 0.151
Pb: 0.090 0.183 0.687
Pb: 0.294 0.500 0.347
Au: 0.112 0.500 0.655
Au: 0.139 0.340 0.507
Au: 0.139 0.358 0.901
Au: 0.234 0.090 0.417
Au: 0.258 0.000 0.761
Au: 0.390 0.100 0.107

Principal peaks in the range 5 to 70 degrees two-theta, in order of rising 2θ:
27.74 deg, I = 35
29.49 deg, I = 69
29.87 deg, I = 45
30.75 deg, I = 48
35.74 deg, I = 100
36.00 deg, I = 75
36.88 deg, I = 78
37.32 deg, I = 53
39.07 deg, I = 41
41.23 deg, I = 35

---

# 3
Starting from a cell relaxed with PBE, the PXRD pattern of Pd3Pb2Au was computed for a wavelength of 1.5418 Å.
Lines closer than 0.1° are merged.

Structural model:
Cell lengths 5.583, 13.916, 12.409 Å; angles 90.00, 90.00, 90.00 degrees
Space group Cmce (No. 64)
Symmetry-distinct sites (fractional):
Pd: 0.000 0.029 0.106
Pd: 0.000 0.125 0.546
Pd: 0.250 0.112 0.750
Pb: 0.000 0.055 0.340
Pb: 0.000 0.182 0.943
Au: 0.000 0.217 0.195

Principal peaks in the range 5 to 70 degrees two-theta, in order of rising 2θ:
32.06 deg, I = 63
33.67 deg, I = 57
35.39 deg, I = 20
36.80 deg, I = 45
38.48 deg, I = 100
39.53 deg, I = 31
41.11 deg, I = 24
44.08 deg, I = 20
47.17 deg, I = 16
50.95 deg, I = 18

---

# 4
Starting from a cell relaxed with PBE, the PXRD pattern of Pd5Pb2Au2 was computed for a wavelength of 1.5418 Å.
Lines closer than 0.1° are merged.

Structural model:
Cell lengths 8.499, 4.701, 8.246 Å; angles 90.00, 90.00, 90.00 degrees
Space group Amm2 (No. 38)
Symmetry-distinct sites (fractional):
Pd: 0.000 0.000 0.000
Pd: 0.169 0.000 0.336
Pd: 0.329 0.000 0.670
Pb: 0.000 0.000 0.669
Pb: 0.500 0.000 0.336
Au: 0.319 0.000 0.002

Principal peaks in the range 5 to 70 degrees two-theta, in order of rising 2θ:
37.92 deg, I = 100
38.29 deg, I = 49
38.56 deg, I = 40
38.68 deg, I = 81
50.15 deg, I = 12
55.10 deg, I = 15
55.47 deg, I = 28
68.83 deg, I = 14
69.03 deg, I = 32
69.49 deg, I = 15

---

# 5
Starting from a cell relaxed with PBE, the PXRD pattern of Pd7Pb3Au2 was computed for a wavelength of 1.5418 Å.
Lines closer than 0.1° are merged.

Structural model:
Cell lengths 4.820, 20.231, 5.022 Å; angles 90.00, 107.06, 90.00 degrees
Space group C2/m (No. 12)
Symmetry-distinct sites (fractional):
Pd: 0.000 0.000 0.000
Pd: 0.000 0.076 0.500
Pd: 0.000 0.282 0.000
Pd: 0.000 0.427 0.000
Pb: 0.000 0.333 0.500
Pb: 0.000 0.500 0.500
Au: 0.000 0.144 0.000

Principal peaks in the range 5 to 70 degrees two-theta, in order of rising 2θ:
26.12 deg, I = 18
29.38 deg, I = 29
31.64 deg, I = 23
37.47 deg, I = 71
38.59 deg, I = 100
39.10 deg, I = 64
44.06 deg, I = 69
45.90 deg, I = 40
64.39 deg, I = 23
66.62 deg, I = 21

---

# 6
Starting from a cell relaxed with PBE, the PXRD pattern of Sr2PdPb4Au3 was computed for a wavelength of 1.5418 Å.
Lines closer than 0.1° are merged.

Structural model:
Cell lengths 4.824, 4.824, 11.944 Å; angles 90.00, 90.00, 90.00 degrees
Space group P-4m2 (No. 115)
Symmetry-distinct sites (fractional):
Sr: 0.000 0.500 0.231
Pd: 0.500 0.500 0.000
Pb: 0.000 0.000 0.500
Pb: 0.000 0.500 0.880
Pb: 0.500 0.500 0.500
Au: 0.000 0.000 0.000
Au: 0.000 0.500 0.647

Principal peaks in the range 5 to 70 degrees two-theta, in order of rising 2θ:
14.83 deg, I = 30
19.85 deg, I = 52
29.08 deg, I = 47
30.17 deg, I = 100
37.28 deg, I = 88
40.13 deg, I = 85
42.21 deg, I = 27
53.75 deg, I = 32
62.88 deg, I = 25
69.15 deg, I = 35

---

# 7
Starting from a cell relaxed with PBE, the PXRD pattern of Pm6Pb6Au was computed for a wavelength of 1.5418 Å.
Lines closer than 0.1° are merged.

Structural model:
Cell lengths 6.7004, 6.7004, 10.5722 Å; angles 90.00, 90.00, 120.00 degrees
Space group P6/mmm (No. 191)
Symmetry-distinct sites (fractional):
Pm: 0.0000 0.0000 0.2168
Pm: 0.3333 0.6667 0.0000
Pm: 0.3333 0.6667 0.5000
Pb: 0.0000 0.5000 0.2492
Au: 0.0000 0.0000 0.5000

Principal peaks in the range 5 to 70 degrees two-theta, in order of rising 2θ:
16.77 deg, I = 19
26.61 deg, I = 19
30.82 deg, I = 57
31.62 deg, I = 45
33.92 deg, I = 36
35.29 deg, I = 100
46.48 deg, I = 33
54.80 deg, I = 30
61.58 deg, I = 16
66.03 deg, I = 32

---

# 8
Starting from a cell relaxed with PBE, the PXRD pattern of Pm4PbAu was computed for a wavelength of 1.5418 Å.
Lines closer than 0.1° are merged.

Structural model:
Cell lengths 5.148, 5.148, 7.564 Å; angles 90.00, 90.00, 90.00 degrees
Space group P4/mmm (No. 123)
Symmetry-distinct sites (fractional):
Pm: 0.000 0.500 0.232
Pb: 0.000 0.000 0.500
Au: 0.500 0.500 0.000

Principal peaks in the range 5 to 70 degrees two-theta, in order of rising 2θ:
20.87 deg, I = 57
34.19 deg, I = 100
34.85 deg, I = 49
39.81 deg, I = 11
40.97 deg, I = 21
48.12 deg, I = 9
50.11 deg, I = 18
53.93 deg, I = 10
60.78 deg, I = 18
62.07 deg, I = 36